For Ho5CuRh2, DFT lattice parameters and positions (GGA-PBE) gives the theoretical powder diffractogram in this record (Cu Ka).
Lines closer than 0.1° are merged.

Cell: 8.488 8.488 8.488 Å, 126.70 126.70 78.74°
Element x y z (fractional)
Ho: 0.000 0.000 0.000
Ho: 0.022 0.522 0.824
Ho: 0.198 0.022 0.500
Ho: 0.302 0.802 0.824
Ho: 0.478 0.302 0.500
Ho: 0.500 0.500 0.000
Ho: 0.522 0.698 0.500
Ho: 0.698 0.198 0.176
Ho: 0.802 0.978 0.500
Ho: 0.978 0.478 0.176
Cu: 0.250 0.250 0.000
Cu: 0.750 0.750 0.000
Rh: 0.138 0.362 0.500
Rh: 0.362 0.862 0.223
Rh: 0.638 0.138 0.777
Rh: 0.862 0.638 0.500

The 10 most intense peaks (15 to 90 degrees two-theta), by angle:
two_theta  Rel. int.
27.1  13
31.9  14
33.3  100
36.1  23
37.3  45
43.5  12
53.9  19
56.0  13
58.6  12
69.9  17

For SrHgAu5, DFT lattice parameters and positions (GGA-PBE) gives the theoretical powder diffractogram in this record (Cu Ka).
Lines closer than 0.1° are merged.

Cell: 9.048 5.881 11.568 Å, 90.00 90.00 90.00°
Element x y z (fractional)
Sr: 0.242 0.250 0.060
Sr: 0.258 0.750 0.560
Sr: 0.742 0.250 0.440
Sr: 0.758 0.750 0.940
Hg: 0.137 0.750 0.858
Hg: 0.363 0.250 0.358
Hg: 0.637 0.750 0.642
Hg: 0.863 0.250 0.142
Au: 0.065 0.012 0.311
Au: 0.065 0.488 0.311
Au: 0.078 0.750 0.094
Au: 0.101 0.250 0.522
Au: 0.181 0.250 0.766
Au: 0.319 0.750 0.266
Au: 0.399 0.750 0.022
Au: 0.422 0.250 0.594
Au: 0.435 0.512 0.811
Au: 0.435 0.988 0.811
Au: 0.565 0.012 0.189
Au: 0.565 0.488 0.189
Au: 0.578 0.750 0.406
Au: 0.601 0.250 0.978
Au: 0.681 0.250 0.734
Au: 0.819 0.750 0.234
Au: 0.899 0.750 0.478
Au: 0.922 0.250 0.906
Au: 0.935 0.512 0.689
Au: 0.935 0.988 0.689

The 10 most intense peaks (15 to 90 degrees two-theta), by angle:
two_theta  Rel. int.
19.6  48
30.4  22
32.5  40
34.2  53
34.3  71
37.3  54
39.8  100
40.1  64
40.2  35
40.6  40

For CePr15Tm4, DFT lattice parameters and positions (GGA-PBE) gives the theoretical powder diffractogram in this record (Cu Ka).
Lines closer than 0.1° are merged.

Cell: 5.184 5.184 25.833 Å, 90.00 90.00 90.00°
Element x y z (fractional)
Ce: 0.000 0.000 0.000
Pr: 0.000 0.500 0.100
Pr: 0.000 0.500 0.300
Pr: 0.000 0.500 0.500
Pr: 0.000 0.500 0.700
Pr: 0.000 0.500 0.900
Pr: 0.500 0.000 0.100
Pr: 0.500 0.000 0.300
Pr: 0.500 0.000 0.500
Pr: 0.500 0.000 0.700
Pr: 0.500 0.000 0.900
Pr: 0.500 0.500 0.000
Pr: 0.500 0.500 0.202
Pr: 0.500 0.500 0.400
Pr: 0.500 0.500 0.600
Pr: 0.500 0.500 0.798
Tm: 0.000 0.000 0.200
Tm: 0.000 0.000 0.400
Tm: 0.000 0.000 0.600
Tm: 0.000 0.000 0.800

The 10 most intense peaks (15 to 90 degrees two-theta), by angle:
two_theta  Rel. int.
29.9  100
34.6  34
34.7  17
49.8  36
59.1  29
59.3  14
62.1  12
80.8  6
81.0  12
83.4  11

Question: What is the formula in the second record?
Answer: SrHgAu5